Record 1
Simulated powder diffractogram of Zr3Cu2Bi for Cu Kα, 1.54184 Å, from a structure optimized by DFT (PBE).
Kinematic intensities with the Lorentz-polarization factor, no thermal factor.

Structure:
Unit cell a=6.0611 b=6.0611 c=4.1774 alpha=90.00 beta=90.00 gamma=120.00
Space group P6/mmm (No. 191)
Symmetry-distinct sites (fractional):
Zr  0.0000  0.5000  0.0000 [3 per cell]
Cu  0.3333  0.6667  0.5000 [2 per cell]
Bi  0.0000  0.0000  0.5000 [1 per cell]

Peak list (8 most intense, 10 to 80 degrees two-theta, in order of rising 2θ)
27.28°, rel. 59, (1 0 1)
29.47°, rel. 29, (1 1 0)
34.16°, rel. 54, (2 0 0)
36.63°, rel. 100, (1 1 1)
50.96°, rel. 22, (2 1 1)
56.29°, rel. 26, (2 0 2)
57.07°, rel. 27, (3 0 1)
61.16°, rel. 22, (2 2 0)

***

Record 2
Simulated powder diffractogram of NaGd3GeS7 for Cu Kα, 1.54184 Å, from a structure optimized by DFT (PBE).
Kinematic intensities with the Lorentz-polarization factor, no thermal factor.

Structure:
Unit cell a=10.0024 b=10.0024 c=5.8586 alpha=90.00 beta=90.00 gamma=120.00
Space group P6_3 (No. 173)
Symmetry-distinct sites (fractional):
Na  0.0000  0.0000  0.0000 [2 per cell]
Gd  0.1358  0.3621  0.2850 [6 per cell]
Ge  0.3333  0.6667  0.8657 [2 per cell]
S  0.0999  0.5801  0.0268 [6 per cell]
S  0.1017  0.2633  0.7453 [6 per cell]
S  0.3333  0.6667  0.4876 [2 per cell]

Peak list (8 most intense, 10 to 80 degrees two-theta, in order of rising 2θ)
20.51°, rel. 31, (2 0 0)
23.39°, rel. 25, (1 1 1)
25.58°, rel. 100, (2 0 1)
35.91°, rel. 40, (2 2 0)
37.05°, rel. 34, (2 0 2)
37.43°, rel. 26, (1 3 0)
40.59°, rel. 26, (3 1 1)
41.36°, rel. 25, (1 2 2)

***

Record 3
Simulated powder diffractogram of Lu7Co2Se2 for Cu Kα, 1.54184 Å, from a structure optimized by DFT (PBE).
Kinematic intensities with the Lorentz-polarization factor, no thermal factor.

Structure:
Unit cell a=3.7130 b=14.7547 c=9.0553 alpha=90.00 beta=90.00 gamma=90.00
Space group Imm2 (No. 44)
Symmetry-distinct sites (fractional):
Lu  0.0000  0.0000  0.0000 [2 per cell]
Lu  0.0000  0.1280  0.5835 [4 per cell]
Lu  0.0000  0.3146  0.3760 [4 per cell]
Lu  0.0000  0.3575  0.7358 [4 per cell]
Co  0.0000  0.2371  0.0722 [4 per cell]
Se  0.0000  0.0000  0.3402 [2 per cell]
Se  0.0000  0.5000  0.2390 [2 per cell]

Peak list (8 most intense, 10 to 80 degrees two-theta, in order of rising 2θ)
30.19°, rel. 48, (1 3 0)
31.75°, rel. 63, (1 1 2)
31.90°, rel. 31, (0 5 1)
34.88°, rel. 71, (0 3 3)
35.72°, rel. 100, (1 4 1)
36.23°, rel. 51, (1 3 2)
49.07°, rel. 29, (2 0 0)
61.61°, rel. 28, (2 3 3)

***

Record 4
Simulated powder diffractogram of DyEr2Co6Ni3 for Cu Kα, 1.54184 Å, from a structure optimized by DFT (PBE).
Kinematic intensities with the Lorentz-polarization factor, no thermal factor.

Structure:
Unit cell a=4.8836 b=4.8836 c=24.6392 alpha=90.00 beta=90.00 gamma=120.00
Space group R-3m (No. 166, hexagonal axes)
Symmetry-distinct sites (fractional):
Dy  0.0000  0.0000  0.0000 [3 per cell]
Er  0.0000  0.0000  0.1391 [6 per cell]
Co  0.0012  0.5006  0.9183 [18 per cell]
Ni  0.0000  0.0000  0.3335 [6 per cell]
Ni  0.0000  0.0000  0.5000 [3 per cell]

Peak list (8 most intense, 10 to 80 degrees two-theta, in order of rising 2θ)
33.11°, rel. 54, (1 0 7)
36.08°, rel. 46, (0 1 8)
36.81°, rel. 59, (1 1 0)
42.93°, rel. 39, (0 2 1)
43.10°, rel. 100, (1 1 6)
66.27°, rel. 18, (3 0 0)
70.64°, rel. 22, (3 0 6)
78.31°, rel. 22, (2 2 0)

***

Record 5
Simulated powder diffractogram of Lu4CdTeC2 for Cu Kα, 1.54184 Å, from a structure optimized by DFT (PBE).
Kinematic intensities with the Lorentz-polarization factor, no thermal factor.

Structure:
Unit cell a=3.6065 b=3.6065 c=14.8712 alpha=90.00 beta=90.00 gamma=120.00
Space group P-6m2 (No. 187)
Symmetry-distinct sites (fractional):
Lu  0.0000  0.0000  0.1524 [2 per cell]
Lu  0.3333  0.6667  0.3245 [2 per cell]
Cd  0.0000  0.0000  0.5000 [1 per cell]
Te  0.3333  0.6667  0.0000 [1 per cell]
C  0.6667  0.3333  0.2369 [2 per cell]

Peak list (8 most intense, 10 to 80 degrees two-theta, in order of rising 2θ)
28.58°, rel. 24, (1 0 0)
33.92°, rel. 100, (1 0 3)
36.24°, rel. 16, (0 0 6)
46.79°, rel. 13, (1 0 6)
50.62°, rel. 23, (1 1 0)
62.34°, rel. 17, (2 0 3)
63.72°, rel. 12, (1 0 9)
63.83°, rel. 18, (1 1 6)

***

Record 6
Simulated powder diffractogram of TaTe2S2I for Cu Kα, 1.54184 Å, from a structure optimized by DFT (PBE).
Kinematic intensities with the Lorentz-polarization factor, no thermal factor.

Structure:
Unit cell a=6.6055 b=7.8803 c=8.3111 alpha=112.56 beta=101.50 gamma=102.16
Space group P-1 (No. 2)
Symmetry-distinct sites (fractional):
Ta  0.2421  0.0021  0.4992 [2 per cell]
Te  0.3835  0.8508  0.1825 [2 per cell]
Te  0.4534  0.7424  0.5729 [2 per cell]
S  0.0090  0.8695  0.6556 [2 per cell]
S  0.1031  0.2844  0.6368 [2 per cell]
I  0.2426  0.4035  0.0783 [2 per cell]

Peak list (8 most intense, 10 to 80 degrees two-theta, in order of rising 2θ)
12.13°, rel. 56, (0 0 1)
12.83°, rel. 42, (0 1 0)
13.17°, rel. 100, (0 1 -1)
21.29°, rel. 30, (0 1 1)
31.76°, rel. 38, (2 -1 1)
33.71°, rel. 38, (2 1 -2)
43.39°, rel. 35, (0 2 2)
45.31°, rel. 27, (-2 3 1)

***

Record 7
Simulated powder diffractogram of Cs2NbS4 for Cu Kα, 1.54184 Å, from a structure optimized by DFT (PBE).
Kinematic intensities with the Lorentz-polarization factor, no thermal factor.

Structure:
Unit cell a=12.9154 b=12.9154 c=12.9154 alpha=90.00 beta=90.00 gamma=90.00
Space group Fd-3m (No. 227, origin choice 2)
Symmetry-distinct sites (fractional):
Cs  0.0000  0.0000  0.0000 [16 per cell]
Nb  0.1250  0.1250  0.6250 [8 per cell]
S  0.0226  0.0226  0.7274 [32 per cell]

Peak list (8 most intense, 10 to 80 degrees two-theta, in order of rising 2θ)
19.44°, rel. 20, (2 2 0)
22.84°, rel. 100, (3 1 1)
27.63°, rel. 28, (4 0 0)
36.14°, rel. 30, (3 3 3)
39.47°, rel. 54, (4 4 0)
54.58°, rel. 32, (7 3 1)
62.25°, rel. 13, (7 5 1)
71.58°, rel. 14, (8 4 4)

***

Record 8
Simulated powder diffractogram of Er4SnGe4Pd2 for Cu Kα, 1.54184 Å, from a structure optimized by DFT (PBE).
Kinematic intensities with the Lorentz-polarization factor, no thermal factor.

Structure:
Unit cell a=15.8318 b=4.2312 c=7.1515 alpha=90.00 beta=107.64 gamma=90.00
Space group C2/m (No. 12)
Symmetry-distinct sites (fractional):
Er  0.0858  0.0000  0.3765 [4 per cell]
Er  0.1555  0.0000  0.9227 [4 per cell]
Sn  0.0000  0.5000  0.0000 [2 per cell]
Ge  0.0632  0.5000  0.6568 [4 per cell]
Ge  0.1925  0.5000  0.2340 [4 per cell]
Pd  0.2190  0.5000  0.6233 [4 per cell]

Peak list (8 most intense, 10 to 80 degrees two-theta, in order of rising 2θ)
32.86°, rel. 94, (3 1 1)
34.06°, rel. 24, (6 0 -1)
34.28°, rel. 53, (3 1 -2)
35.69°, rel. 100, (1 1 2)
36.58°, rel. 33, (5 1 0)
37.46°, rel. 20, (6 0 -2)
39.65°, rel. 32, (4 0 -3)
42.74°, rel. 46, (0 2 0)